This entry pairs a crystal structure of Li6MnSn3P6O24 with its calculated powder XRD pattern. Radiation: Cu Kα (weighted mean of Kα1 and Kα2). Structure: a DFT-relaxed cell (GGA+U, Alexandria).
Peak positions follow from Bragg's law for the DFT cell and can differ from measured ones.

Cell: 8.8849 8.9925 9.0559 Å, 119.51 118.23 90.88°
Fractional coordinates of all 40 atoms:
Li: 0.0000 0.0000 0.0000
Li: 0.0555 0.2469 0.3543
Li: 0.1305 0.6132 0.0163
Li: 0.5324 0.5303 0.2417
Li: 0.5972 0.0415 0.7849
Li: 0.7003 0.9695 0.2004
Mn: 0.6400 0.6731 0.7259
Sn: 0.1977 0.2312 0.7898
Sn: 0.4829 0.1242 0.3977
Sn: 0.9748 0.6271 0.3974
P: 0.0551 0.9342 0.2974
P: 0.2488 0.4246 0.2570
P: 0.3609 0.9128 0.8627
P: 0.6051 0.4149 0.9094
P: 0.7847 0.9113 0.5822
P: 0.8970 0.4079 0.5811
O: 0.0807 0.4153 0.7459
O: 0.1537 0.2461 0.2038
O: 0.1630 0.7827 0.7062
O: 0.1676 0.1260 0.5105
O: 0.1742 0.8620 0.2182
O: 0.1752 0.5755 0.3500
O: 0.2165 0.4137 0.0643
O: 0.3579 0.1041 0.9011
O: 0.4373 0.9282 0.0629
O: 0.4488 0.4233 0.9509
O: 0.4566 0.4907 0.4029
O: 0.4877 0.8576 0.7879
O: 0.5625 0.2227 0.7325
O: 0.6158 0.9287 0.4357
O: 0.6299 0.5608 0.8761
O: 0.7568 0.2196 0.4436
O: 0.7719 0.9216 0.7520
O: 0.7743 0.4387 0.1000
O: 0.7784 0.7123 0.4458
O: 0.8498 0.5658 0.7015
O: 0.9051 0.9753 0.1551
O: 0.9396 0.4229 0.4368
O: 0.9631 0.0531 0.6842
O: 0.9660 0.8120 0.3260

Most intense lines, 2θ = 10–80°, low angle first:
d = 6.570 Å, 13.5 deg, intensity 57, hkl 0 0 1; d = 4.548 Å, 19.5 deg, intensity 100, hkl 1 1 0; d = 4.522 Å, 19.6 deg, intensity 50, hkl 1 1 -2; d = 4.496 Å, 19.7 deg, intensity 79, hkl 0 2 -1; d = 4.442 Å, 20.0 deg, intensity 57, hkl 2 0 -1; d = 2.919 Å, 30.6 deg, intensity 51, hkl 1 1 1; d = 2.904 Å, 30.8 deg, intensity 44, hkl -1 1 2; d = 2.852 Å, 31.4 deg, intensity 53, hkl 1 -3 1; d = 2.826 Å, 31.7 deg, intensity 42, hkl 1 3 -2; d = 2.658 Å, 33.7 deg, intensity 49, hkl 0 2 -3